No. 1
ScMnNi5: calculated powder diffraction line list (copper Kα), based on a PBE-relaxed structure.

Peak list (12 most intense, 10° ≤ 2θ ≤ 90°, low angle first)
Position (°2θ)	I_rel
23.87	13
38.16	17
38.43	27
40.87	100
42.51	18
46.00	37
47.72	31
47.90	69
48.87	20
49.02	43
70.80	16
75.99	21

Cell and atoms:
```
ScMnNi5
1.0
7.7426 0.0000 0.0000
0.0000 4.7170 0.0000
0.0000 0.0000 9.8310
Sc Mn Ni
4 4 20
Direct
0.2488 0.2500 0.0585
0.2512 0.7500 0.5585
0.7488 0.2500 0.4415
0.7512 0.7500 0.9415
0.1391 0.7500 0.8558
0.3609 0.2500 0.3558
0.6391 0.7500 0.6442
0.8609 0.2500 0.1442
0.0487 0.7500 0.0893
0.0650 0.0055 0.3078
0.0650 0.4945 0.3078
0.1014 0.2500 0.5185
0.1894 0.2500 0.7515
0.3106 0.7500 0.2515
0.3986 0.7500 0.0185
0.4350 0.5055 0.8078
0.4350 0.9945 0.8078
0.4513 0.2500 0.5893
0.5487 0.7500 0.4107
0.5650 0.0055 0.1922
0.5650 0.4945 0.1922
0.6014 0.2500 0.9815
0.6894 0.2500 0.7485
0.8106 0.7500 0.2485
0.8986 0.7500 0.4815
0.9350 0.5055 0.6922
0.9350 0.9945 0.6922
0.9513 0.2500 0.9107
```

---

No. 2
Y2Pd7Pt: calculated powder diffraction line list (copper Kα), based on a PBE-relaxed structure.

Peak list (12 most intense, 10° ≤ 2θ ≤ 90°, low angle first)
Position (°2θ)	I_rel
12.22	15
37.43	99
38.47	100
40.33	28
42.05	38
49.53	32
59.68	17
66.94	26
73.79	14
74.45	14
78.12	22
84.07	16

Cell and atoms:
```
Y2Pd7Pt
1.0
-2.1487 2.8429 7.2440
2.1487 -2.8429 7.2440
2.1487 2.8429 -7.2440
Y Pd Pt
2 7 1
Direct
0.1951 0.1951 0.0000
0.8049 0.8049 0.0000
0.0000 0.0000 0.0000
0.1532 0.4009 0.7523
0.3195 0.8195 0.5000
0.3515 0.5991 0.7523
0.6485 0.4009 0.2477
0.6805 0.1805 0.5000
0.8468 0.5991 0.2477
0.5000 0.0000 0.5000
```

---

No. 3
Li2AgC2O6: calculated powder diffraction line list (copper Kα), based on a PBE-relaxed structure.

Peak list (12 most intense, 10° ≤ 2θ ≤ 90°, low angle first)
Position (°2θ)	I_rel
14.82	100
20.14	60
20.74	23
23.79	43
25.25	24
25.92	61
27.03	95
33.64	29
35.20	29
36.18	25
40.25	25
42.22	28

Cell and atoms:
```
Li2AgC2O6
1.0
4.8350 0.0000 0.0000
2.3363 4.4693 0.0000
0.7038 0.9935 5.9765
Li Ag C O
2 1 2 6
Direct
0.2019 0.0482 0.3473
0.7981 0.9518 0.6527
0.5000 0.5000 0.0000
0.1427 0.2840 0.7456
0.8573 0.7160 0.2544
0.1038 0.4711 0.2163
0.1291 0.0641 0.6790
0.4181 0.2601 0.7720
0.5819 0.7399 0.2280
0.8709 0.9359 0.3210
0.8962 0.5289 0.7837
```